Starting from a DFT-relaxed cell (GGA-PBE, Alexandria), the X-ray diffraction stick pattern of BaNa2Rh3O8 was computed for Cu Kα, 1.54184 Å.
No peak broadening, texture or thermal motion is included.

Main lines, sorted by position (15° ≤ 2θ ≤ 90°):
15.68 deg, d 5.652, I 873, hkl 0 0 3
19.12 deg, d 4.642, I 481, hkl 0 1 2
26.46 deg, d 3.368, I 706, hkl 1 0 4
30.90 deg, d 2.894, I 436, hkl 0 1 5
32.12 deg, d 2.787, I 857, hkl 1 1 3
32.71 deg, d 2.738, I 1000, hkl 0 2 1
34.00 deg, d 2.636, I 345, hkl 2 0 2
38.80 deg, d 2.321, I 337, hkl 0 2 4
49.99 deg, d 1.825, I 497, hkl 0 2 7
51.22 deg, d 1.784, I 276, hkl 1 2 5
54.48 deg, d 1.684, I 424, hkl 2 0 8
57.55 deg, d 1.602, I 435, hkl 2 2 0

Crystal structure
Cell lengths 6.4061, 6.4061, 16.9570 Å; angles 90.00, 90.00, 120.00 degrees
Space group R3m (No. 160, hexagonal axes)
Inequivalent atoms, fractional coordinates:
Ba1 0.0000 0.0000 0.0000 x3
Na1 0.0000 0.0000 0.2436 x3
Na2 0.0000 0.0000 0.6255 x3
Rh1 0.0024 0.5012 0.1281 x9
O1 0.0000 0.0000 0.3989 x3
O2 0.0000 0.0000 0.8513 x3
O3 0.0529 0.5264 0.4007 x9
O4 0.1851 0.3702 0.1864 x9



Starting from a DFT-relaxed cell (GGA-PBE, Alexandria), the X-ray diffraction stick pattern of Ac5La2Er2 was computed for Cu Kα, 1.54184 Å.
No peak broadening, texture or thermal motion is included.

Main lines, sorted by position (15° ≤ 2θ ≤ 90°):
28.47 deg, d 3.135, I 1000, hkl 1 2 0
28.65 deg, d 3.115, I 329, hkl 0 1 -3
32.91 deg, d 2.721, I 459, hkl 1 1 3
33.30 deg, d 2.690, I 222, hkl 0 3 0
47.06 deg, d 1.931, I 86, hkl 2 1 0
47.43 deg, d 1.917, I 250, hkl 0 1 6
47.61 deg, d 1.910, I 167, hkl 1 3 -3
55.96 deg, d 1.643, I 155, hkl 2 0 3
56.12 deg, d 1.639, I 153, hkl 2 2 -3
56.30 deg, d 1.634, I 102, hkl 1 0 6
56.56 deg, d 1.627, I 149, hkl 1 5 0
58.97 deg, d 1.566, I 88, hkl 2 4 0

Crystal structure
Cell lengths 3.862, 8.524, 11.504 Å; angles 76.71, 89.95, 77.00 degrees
Space group P-1 (No. 2)
Inequivalent atoms, fractional coordinates:
Ac1 0.000 0.000 0.000 x1
Ac2 0.330 0.338 0.115 x2
Ac3 0.336 0.331 0.444 x2
La1 0.003 0.992 0.331 x2
Er1 0.335 0.331 0.777 x2